# 1
Computed powder diffractogram of Rb2Ba6Au for a wavelength of 1.5418 Å, from the PBE geometry in Alexandria.
Kinematic intensities with the Lorentz-polarization factor, no thermal factor.

Principal peaks in the range 5° ≤ 2θ ≤ 70°, sorted by position:
| 2θ/deg | Rel. int. |
| --- | --- |
| 9.8 | 100 |
| 15.4 | 50 |
| 20.8 | 82 |
| 28.8 | 89 |
| 29.4 | 51 |
| 40.0 | 36 |
| 45.0 | 28 |
| 45.5 | 26 |

```
Rb2Ba6Au
1.0
10.414 0.000 0.000
-5.207 9.019 0.000
0.000 0.000 7.496
Rb Ba Au
2 6 1
Cartesian
0.000 6.012 0.000
5.207 3.006 0.000
-1.313 2.274 5.557
-3.894 6.744 1.939
2.626 0.000 5.557
1.313 2.274 1.939
7.788 0.000 1.939
3.894 6.744 5.557
0.000 0.000 3.748
```

---

# 2
Computed powder diffractogram of RbBa8Au5 for a wavelength of 1.5418 Å, from the PBE geometry in Alexandria.
Kinematic intensities with the Lorentz-polarization factor, no thermal factor.

Principal peaks in the range 5° ≤ 2θ ≤ 70°, sorted by position:
| 2θ/deg | Rel. int. |
| --- | --- |
| 7.3 | 72 |
| 7.6 | 99 |
| 23.6 | 100 |
| 24.9 | 58 |
| 29.8 | 93 |
| 33.5 | 73 |
| 37.2 | 58 |
| 37.5 | 96 |

```
RbBa8Au5
1.0
12.425 -2.415 0.000
12.425 2.415 0.000
-2.685 0.000 11.563
Rb Ba Au
1 8 5
Cartesian
0.000 0.000 0.000
0.079 0.000 7.569
5.599 0.000 3.902
8.083 0.000 0.046
8.298 0.000 7.569
13.867 0.000 3.994
14.083 0.000 11.518
16.566 0.000 7.661
22.086 0.000 3.995
2.812 0.000 5.725
2.773 0.000 9.599
11.083 0.000 5.782
19.393 0.000 1.965
19.353 0.000 5.838
```

---

# 3
Computed powder diffractogram of RbBa3Au2 for a wavelength of 1.5418 Å, from the PBE geometry in Alexandria.
Kinematic intensities with the Lorentz-polarization factor, no thermal factor.

Principal peaks in the range 5° ≤ 2θ ≤ 70°, sorted by position:
| 2θ/deg | Rel. int. |
| --- | --- |
| 11.0 | 35 |
| 11.4 | 100 |
| 19.4 | 52 |
| 28.9 | 72 |
| 29.3 | 46 |
| 30.9 | 80 |
| 31.4 | 89 |
| 39.3 | 45 |

```
RbBa3Au2
1.0
8.024 -4.442 0.000
8.024 4.442 0.000
0.000 0.000 8.379
Rb Ba Au
2 6 4
Cartesian
8.024 3.637 6.284
8.024 -3.637 2.095
3.857 2.033 6.284
8.024 0.528 2.095
3.857 -2.033 2.095
12.192 2.033 6.284
8.024 -0.528 6.284
12.192 -2.033 2.095
5.458 0.000 0.000
5.458 0.000 4.189
10.591 0.000 0.000
10.591 0.000 4.189
```

---

# 4
Computed powder diffractogram of RbBa6Au2 for a wavelength of 1.5418 Å, from the PBE geometry in Alexandria.
Kinematic intensities with the Lorentz-polarization factor, no thermal factor.

Principal peaks in the range 5° ≤ 2θ ≤ 70°, sorted by position:
| 2θ/deg | Rel. int. |
| --- | --- |
| 12.3 | 100 |
| 23.4 | 69 |
| 24.8 | 51 |
| 30.4 | 47 |
| 30.6 | 67 |
| 35.7 | 70 |
| 41.5 | 24 |
| 61.1 | 26 |

```
RbBa6Au2
1.0
4.352 2.513 7.863
-4.352 2.513 7.863
0.000 -5.025 7.863
Rb Ba Au
1 6 2
Cartesian
0.000 0.000 0.000
-1.998 -1.567 7.905
-2.783 0.011 11.830
-0.358 2.514 7.905
1.382 -2.416 11.830
2.356 -0.947 7.905
1.401 2.405 11.830
0.000 0.000 10.008
0.000 0.000 13.659
```